# K2Al2Si2O9
Computed powder diffractogram, Cu Kα (weighted mean of Kα1 and Kα2). Input: a crystal structure in the Materials Project, relaxed with GGA-PBE.
No peak broadening, texture or thermal motion is included.

Most intense lines, 2θ from 5° to 70°, by angle:
2θ (°)	I_rel
12.78	547
22.06	688
27.30	293
28.31	1000
29.12	474
29.41	527
29.83	484
30.62	827
30.86	667
33.55	289

Structural model:
```
60
Lattice="9.5620 0.0000 0.0000 0.0000 9.6636 0.0000 0.0000 0.0000 10.0093" Properties=species:S:1:pos:R:3 pbc="T T T"
K 0.2269 0.4408 3.7051
K 1.8983 7.1702 6.3672
K 2.8827 2.4934 1.3626
K 4.5541 9.2228 8.7097
K 5.0079 4.3910 6.3042
K 6.6793 7.3251 3.6420
K 7.6637 2.3384 8.6467
K 9.3351 5.2725 1.2995
Al 1.1460 3.8350 8.0363
Al 1.2426 8.4043 0.2946
Al 3.5384 1.2592 5.2993
Al 3.6350 5.8285 3.0317
Al 5.9270 0.9967 1.9730
Al 6.0236 6.0910 9.7146
Al 8.3194 3.5726 4.7100
Al 8.4160 8.6668 6.9776
Si 1.4150 0.6840 7.6933
Si 1.9211 4.0097 4.9843
Si 2.8599 5.6538 9.9890
Si 3.3660 8.9796 2.6887
Si 6.1960 4.1478 2.3159
Si 6.7021 0.8221 5.0249
Si 7.6409 8.8415 0.0203
Si 8.1470 5.5158 7.3206
O 0.4043 9.4747 6.7306
O 0.4856 3.5568 4.3858
O 0.5710 6.9702 3.6685
O 0.7678 2.1305 8.0762
O 1.7401 6.8072 9.7340
O 1.7763 9.5368 9.0698
O 1.8788 4.4118 6.5674
O 1.9530 8.8197 1.8624
O 2.3045 4.2413 9.3096
O 2.4765 5.4222 4.3050
O 2.8280 0.8439 6.8670
O 2.9022 5.2518 1.5628
O 3.0047 0.1267 4.0652
O 3.0409 2.8564 4.7293
O 4.0132 7.5330 3.0716
O 4.2100 2.6933 8.6731
O 4.2954 6.1067 9.3904
O 4.3767 0.1889 1.7259
O 5.1853 5.0206 3.2787
O 5.2666 1.2749 5.6235
O 5.3520 7.5251 6.3408
O 5.5488 2.7013 1.9331
O 6.5211 7.6882 0.2753
O 6.5573 4.9585 0.9395
O 6.6597 0.4200 3.4419
O 6.7340 5.6757 8.1469
O 7.0855 0.5905 0.6996
O 7.2575 9.0731 5.7043
O 7.6090 3.9879 3.1423
O 7.6832 9.2435 8.4465
O 7.7857 4.7050 5.9441
O 7.8219 1.9754 5.2799
O 8.7942 6.9623 6.9377
O 8.9910 2.1384 1.3361
O 9.0764 8.3886 0.6188
O 9.1577 4.6429 8.2833
```


# KTi3AlO8
Computed powder diffractogram, Cu Kα (weighted mean of Kα1 and Kα2). Input: a crystal structure in the Materials Project, relaxed with GGA-PBE.
No peak broadening, texture or thermal motion is included.

Most intense lines, 2θ from 5° to 70°, by angle:
2θ (°)	I_rel
12.37	257
17.54	327
24.88	170
27.90	1000
36.16	547
40.46	427
48.08	333
54.44	245
58.08	287
67.02	157

Structural model:
```
13
Lattice="2.9721 0.0000 0.0000 1.4768 7.1400 0.0000 1.4788 -0.0072 7.1620" Properties=species:S:1:pos:R:3 pbc="T T T"
K 0.0000 0.0000 0.0000
Ti 2.4960 5.8533 3.6906
Ti 2.5283 1.4307 3.4439
Ti 3.9966 3.5155 5.9832
Al 1.0596 3.7235 1.3507
O 1.0700 0.3984 2.5690
O 2.5466 4.5058 5.1127
O 2.5472 2.5792 6.8882
O 2.5567 4.5946 0.4112
O 2.5468 2.7536 2.1294
O 4.0394 6.7990 4.6014
O 4.0343 5.0397 2.6924
O 4.0327 2.1153 4.5232
```


# KAlSb4
Computed powder diffractogram, Cu Kα (weighted mean of Kα1 and Kα2). Input: a crystal structure in the Materials Project, relaxed with GGA-PBE.
No peak broadening, texture or thermal motion is included.

Most intense lines, 2θ from 5° to 70°, by angle:
2θ (°)	I_rel
9.67	450
16.80	569
25.79	948
26.83	660
28.58	1000
29.30	486
29.82	640
30.64	700
41.40	455
42.24	554

Structural model:
```
24
Lattice="10.5506 0.0000 0.0000 0.0000 4.2792 0.0000 0.0000 0.0000 18.2899" Properties=species:S:1:pos:R:3 pbc="T T T"
K 1.8606 1.0698 1.1992
K 3.4147 3.2094 10.3441
K 7.1359 1.0698 7.9458
K 8.6900 3.2094 17.0907
Al 1.9074 3.2094 6.7375
Al 3.3679 1.0698 15.8825
Al 7.1827 3.2094 2.4074
Al 8.6432 1.0698 11.5524
Sb 0.3779 1.0698 10.0536
Sb 0.7402 3.2094 13.7700
Sb 1.1912 3.2094 4.1222
Sb 1.8063 3.2094 16.4446
Sb 3.4690 1.0698 7.2997
Sb 4.0841 1.0698 13.2672
Sb 4.5351 1.0698 4.6250
Sb 4.8974 3.2094 0.9087
Sb 5.6532 1.0698 17.3812
Sb 6.0155 3.2094 13.6649
Sb 6.4665 3.2094 5.0227
Sb 7.0816 3.2094 10.9902
Sb 8.7443 1.0698 1.8453
Sb 9.3594 1.0698 14.1677
Sb 9.8104 1.0698 4.5199
Sb 10.1727 3.2094 8.2363
```


# KAlSe2
Computed powder diffractogram, Cu Kα (weighted mean of Kα1 and Kα2). Input: a crystal structure in the Materials Project, relaxed with GGA-PBE.
No peak broadening, texture or thermal motion is included.

Most intense lines, 2θ from 5° to 70°, by angle:
2θ (°)	I_rel
24.40	447
27.06	826
30.63	1000
32.98	553
34.98	174
44.07	439
46.54	387
53.26	276
54.66	217
56.75	320

Structural model:
```
32
Lattice="5.5180 -5.5201 0.0000 5.5180 5.5201 0.0000 -2.7633 0.0000 15.3890" Properties=species:S:1:pos:R:3 pbc="T T T"
K 3.4335 3.4382 9.3603
K 0.6900 0.6784 13.6227
K 3.4576 3.4382 13.7232
K 2.0717 -0.6784 5.9282
K 6.2010 0.6784 9.4607
K 4.8151 -3.4382 1.6658
K 7.5827 -0.6784 1.7663
K 4.8392 -3.4382 6.0287
Al 3.4702 3.4354 5.1843
Al 3.4667 0.7165 2.5025
Al 6.1842 3.4354 2.5102
Al 2.0851 -0.7165 10.1970
Al 6.1876 0.7165 5.1920
Al 2.0885 -3.4354 12.8788
Al 4.8060 -0.7165 12.8864
Al 4.8025 -3.4354 10.2047
Se 1.9972 2.0750 3.8346
Se 4.8272 4.9078 3.8472
Se 0.6869 0.6941 8.7820
Se 4.8248 2.0719 1.0404
Se 2.0686 -0.6941 1.0876
Se 4.8296 2.0719 6.6541
Se 0.6155 -2.0750 11.5291
Se 3.4455 0.7562 11.5417
Se 4.8272 -0.7562 3.8472
Se 7.6572 2.0750 3.8598
Se 3.4431 -2.0719 8.7348
Se 6.2041 0.6941 14.3014
Se 3.4479 -2.0719 14.3486
Se 7.5858 -0.6941 6.6069
Se 3.4455 -4.9078 11.5417
Se 6.2755 -2.0750 11.5543
```


# KAlSi2
Computed powder diffractogram, Cu Kα (weighted mean of Kα1 and Kα2). Input: a crystal structure in the Materials Project, relaxed with GGA-PBE.
No peak broadening, texture or thermal motion is included.

Most intense lines, 2θ from 5° to 70°, by angle:
2θ (°)	I_rel
29.77	391
29.85	198
31.76	545
31.98	1000
37.60	908
45.69	441
45.85	201
55.64	186
60.74	231
65.62	215

Structural model:
```
32
Lattice="-5.5979 5.5979 5.6342 5.5979 -5.5979 5.6342 5.5979 5.5979 -5.6342" Properties=species:S:1:pos:R:3 pbc="T T T"
K 4.2155 1.4166 -1.4085
K 6.9802 4.1813 -1.4085
K 1.3824 1.4166 1.4085
K -1.3824 4.1813 1.4085
K 6.9802 1.4166 4.2256
K 4.2155 4.1813 4.2256
K -1.3824 1.4166 7.0427
K 1.3824 4.1813 7.0427
Al 3.7341 -0.9352 1.4085
Al 9.3320 0.9352 1.4085
Al 3.7341 4.6626 -1.4085
Al 3.7341 0.9352 4.2256
Al 1.8637 4.6626 1.4085
Al 1.8637 0.9352 7.0427
Al -3.7341 4.6626 4.2256
Al 1.8637 6.5331 4.2256
Si 4.6727 4.1488 -3.7895
Si 4.2480 -3.7241 4.6617
Si 4.6727 -1.4490 3.7895
Si 1.3499 3.7241 -0.9724
Si 6.9478 1.8738 0.9724
Si 4.6727 1.4490 1.8447
Si 4.2480 3.7241 0.9724
Si -0.9252 1.4490 3.7895
Si 6.5230 4.1488 1.8447
Si 1.3499 1.8738 4.6617
Si 0.9252 4.1488 3.7895
Si -1.3499 3.7241 4.6617
Si 4.2480 1.8738 6.6066
Si 0.9252 7.0469 1.8447
Si 1.3499 9.3220 0.9724
Si 0.9252 1.4490 9.4237
```


# K3AlTe3
Computed powder diffractogram, Cu Kα (weighted mean of Kα1 and Kα2). Input: a crystal structure in the Materials Project, relaxed with GGA-PBE.
No peak broadening, texture or thermal motion is included.

Most intense lines, 2θ from 5° to 70°, by angle:
2θ (°)	I_rel
21.38	561
22.68	378
24.53	1000
25.64	670
26.42	810
27.41	571
27.85	528
31.88	398
32.29	423
39.23	409

Structural model:
```
28
Lattice="8.7648 0.0000 0.0000 0.0000 14.2518 0.0000 -6.8669 0.0000 8.9190" Properties=species:S:1:pos:R:3 pbc="T T T"
K -2.0452 1.6086 4.2250
K -5.4786 5.5173 8.6845
K -4.5995 1.5031 8.0553
K -1.1660 5.6228 3.5958
K -0.8485 9.8157 5.1090
K 2.5850 11.5620 0.6495
K -0.6871 2.6898 8.2695
K 2.7464 4.4361 3.8100
K 3.0639 8.6290 5.3232
K 6.4973 12.7487 0.8637
K 7.3765 8.7345 0.2345
K 3.9430 12.6433 4.6940
Al 1.5618 0.9414 3.0451
Al -1.8717 6.1845 7.5046
Al 3.7696 8.0674 1.4144
Al 0.3361 13.3104 5.8739
Te 0.1588 2.7556 1.7563
Te -3.2747 4.3703 6.2159
Te -3.0878 8.5696 7.6717
Te 0.3456 12.8081 3.2122
Te 1.3467 7.8847 2.3641
Te -2.0868 13.4930 6.8236
Te 3.9847 0.7588 2.0954
Te 0.5512 6.3671 6.5549
Te 1.5522 1.4437 5.7068
Te 4.9857 5.6822 1.2473
Te 5.1726 9.8815 2.7032
Te 1.7391 11.4962 7.1627
```


# La3Al
Computed powder diffractogram, Cu Kα (weighted mean of Kα1 and Kα2). Input: a crystal structure in the Materials Project, relaxed with GGA-PBE.
No peak broadening, texture or thermal motion is included.

Most intense lines, 2θ from 5° to 70°, by angle:
2θ (°)	I_rel
17.82	180
25.31	158
31.13	1000
36.10	503
40.53	92
44.60	70
51.97	353
55.39	46
61.83	416
64.91	120

Structural model:
```
4
Lattice="4.9766 0.0000 0.0000 0.0000 4.9766 0.0000 0.0000 0.0000 4.9766" Properties=species:S:1:pos:R:3 pbc="T T T"
La 0.0000 0.0000 2.4883
La 0.0000 2.4883 0.0000
La 2.4883 0.0000 0.0000
Al 2.4883 2.4883 2.4883
```


# LaAl2
Computed powder diffractogram, Cu Kα (weighted mean of Kα1 and Kα2). Input: a crystal structure in the Materials Project, relaxed with GGA-PBE.
No peak broadening, texture or thermal motion is included.

Most intense lines, 2θ from 5° to 70°, by angle:
2θ (°)	I_rel
18.88	538
31.06	950
36.60	1000
38.29	56
44.50	65
48.74	142
55.26	370
58.93	330
64.76	221
68.12	103

Structural model:
```
6
Lattice="0.0000 4.0716 4.0716 4.0716 0.0000 4.0716 4.0716 4.0716 0.0000" Properties=species:S:1:pos:R:3 pbc="T T T"
La 1.0179 1.0179 1.0179
La 7.1253 7.1253 7.1253
Al 4.0716 2.0358 2.0358
Al 2.0358 4.0716 2.0358
Al 2.0358 2.0358 4.0716
Al 4.0716 4.0716 4.0716
```